This entry pairs a crystal structure of KNbTePdI with its calculated X-ray diffraction stick pattern. Radiation: a wavelength of 1.5418 Å. Structure: a structure optimized by DFT (PBE).
Intensities are scaled so that the largest is 100.

Main lines, in order of rising 2θ (5 to 70 degrees two-theta):
| 2theta | intensity |
| --- | --- |
| 10.1 | 100 |
| 27.3 | 32 |
| 29.9 | 67 |
| 34.7 | 20 |
| 36.9 | 34 |
| 39.1 | 30 |
| 44.7 | 18 |
| 45.4 | 22 |

Structural model:
Unit cell a=4.6855 b=4.6855 c=9.2294 alpha=107.06 beta=107.06 gamma=50.42
Element x y z (fractional)
1 K 0.0000 0.0000 0.0000
2 Nb 0.0778 0.0778 0.4823
3 Te 0.3952 0.3952 0.2666
4 Pd 0.7416 0.7416 0.3895
5 I 0.6025 0.6025 0.7273

This entry pairs a crystal structure of PuCd8Hg2 with its calculated X-ray diffraction stick pattern. Radiation: a wavelength of 1.5418 Å. Structure: a structure optimized by DFT (PBE).
Intensities are scaled so that the largest is 100.

Main lines, in order of rising 2θ (5 to 70 degrees two-theta):
| 2theta | intensity |
| --- | --- |
| 16.1 | 22 |
| 32.5 | 73 |
| 36.6 | 100 |
| 46.7 | 30 |
| 58.3 | 6 |
| 60.7 | 43 |
| 68.2 | 10 |
| 68.3 | 14 |

Structural model:
Unit cell a=5.5040 b=5.5040 c=9.5014 alpha=90.00 beta=90.00 gamma=90.00
Element x y z (fractional)
1 Pu 0.0000 0.0000 0.0000
2 Cd 0.0000 0.5000 0.1713
3 Cd 0.0000 0.5000 0.5000
4 Cd 0.0000 0.5000 0.8287
5 Cd 0.5000 0.0000 0.1713
6 Cd 0.5000 0.0000 0.5000
7 Cd 0.5000 0.0000 0.8287
8 Cd 0.5000 0.5000 0.3229
9 Cd 0.5000 0.5000 0.6771
10 Hg 0.0000 0.0000 0.3329
11 Hg 0.0000 0.0000 0.6671

This entry pairs a crystal structure of Sm2CuH6Ru with its calculated X-ray diffraction stick pattern. Radiation: a wavelength of 1.5418 Å. Structure: a structure optimized by DFT (PBE).
Intensities are scaled so that the largest is 100.

Main lines, in order of rising 2θ (5 to 70 degrees two-theta):
| 2theta | intensity |
| --- | --- |
| 34.1 | 68 |
| 34.3 | 100 |
| 34.7 | 32 |
| 48.7 | 13 |
| 49.4 | 12 |
| 60.9 | 12 |
| 61.1 | 12 |
| 61.2 | 12 |

Structural model:
Unit cell a=5.2364 b=5.2364 c=5.1771 alpha=119.35 beta=119.35 gamma=91.25
Element x y z (fractional)
1 Sm 0.2499 0.7501 0.0000
2 Sm 0.7501 0.2499 0.0000
3 Cu 0.0000 0.0000 0.5000
4 H 0.2569 0.2569 0.4985
5 H 0.2579 0.2579 0.0173
6 H 0.2603 0.7397 0.5000
7 H 0.7397 0.2603 0.5000
8 H 0.7421 0.7421 0.9827
9 H 0.7431 0.7431 0.5015
10 Ru 0.5000 0.5000 0.5000